# Sn4Bi5I
Simulated powder diffraction line list, a wavelength of 1.5418 Å. Input: a crystal structure in Alexandria, relaxed with GGA-PBE.
Neutral-atom scattering factors, no anomalous dispersion.

Atomic structure:
```
data_Sn4Bi5I
_chemical_formula_sum 'Sn8 Bi10 I2'
_cell_length_a 8.6800
_cell_length_b 14.8042
_cell_length_c 6.1593
_cell_angle_alpha 90.00
_cell_angle_beta 90.00
_cell_angle_gamma 90.00
_symmetry_space_group_name_H-M 'P m m n'
_symmetry_Int_Tables_number 59
loop_
_symmetry_equiv_pos_as_xyz
'x,y,z'
'-x,-y,-z'
'-x+1/2,-y+1/2,z'
'x+1/2,y+1/2,-z'
'x+1/2,-y,-z'
'-x+1/2,y,z'
'-x,y+1/2,-z'
'x,-y+1/2,z'
loop_
_atom_site_label
_atom_site_type_symbol
_atom_site_fract_x
_atom_site_fract_y
_atom_site_fract_z
_atom_site_occupancy
Sn1 Sn 0.0286 0.2500 0.0094 1
Sn2 Sn 0.2500 0.0595 0.4542 1
Bi1 Bi 0.0519 0.5613 0.8163 1
Bi2 Bi 0.2500 0.2500 0.6350 1
I1 I 0.2500 0.7500 0.3051 1
```

Most intense lines, 10° ≤ 2θ ≤ 80°, by intensity:
hkl 0 3 1, 2θ = 23.09°, d 3.851, I 100.0; hkl 2 0 1, 2θ = 25.10°, d 3.548, I 65.6; hkl 0 6 0, 2θ = 36.40°, d 2.468, I 44.2; hkl 2 2 2, 2θ = 37.83°, d 2.378, I 37.2; hkl 2 1 1, 2θ = 25.82°, d 3.450, I 35.4; hkl 2 3 2, 2θ = 40.29°, d 2.238, I 31.9; hkl 2 5 1, 2θ = 39.65°, d 2.273, I 30.3; hkl 3 3 0, 2θ = 35.97°, d 2.497, I 28.9